1.
The following is a calculated powder diffraction line list of TaAlSn. It was derived from DFT lattice parameters and positions (PBE), using Cu Ka.
Lines closer than 0.1° are merged.

Atomic structure:
Cell lengths 3.844, 3.844, 8.108 Å; angles 90.00, 90.00, 90.00 degrees
Space group P4/nmm (No. 129, origin choice 2)
One atom of each set of equivalent atoms:
Ta: 0.250 0.250 0.241
Al: 0.250 0.750 0.500
Sn: 0.250 0.250 0.862

The 12 most intense peaks (15° ≤ 2θ ≤ 90°), in order of falling intensity:
- hkl 1 1 0, 33.0°, intensity 100
- hkl 1 0 3, 40.8°, intensity 85
- hkl 1 1 2, 39.9°, intensity 81
- hkl 0 0 2, 21.9°, intensity 53
- hkl 2 0 0, 47.3°, intensity 53
- hkl 2 1 3, 64.2°, intensity 46
- hkl 1 0 1, 25.6°, intensity 37
- hkl 1 0 5, 62.1°, intensity 37
- hkl 2 1 5, 81.6°, intensity 35
- hkl 1 1 1, 34.8°, intensity 31
- hkl 1 0 2, 32.1°, intensity 29
- hkl 2 0 2, 52.7°, intensity 21

***

2.
The following is a calculated powder diffraction line list of Al2Sn2Te. It was derived from DFT lattice parameters and positions (PBE), using Cu Ka.
Lines closer than 0.1° are merged.

Atomic structure:
Cell lengths 3.921, 3.921, 16.460 Å; angles 90.00, 90.00, 90.00 degrees
Space group I4/mmm (No. 139)
One atom of each set of equivalent atoms:
Al: 0.000 0.500 0.250
Sn: 0.000 0.000 0.112
Te: 0.000 0.000 0.500

The 12 most intense peaks (15° ≤ 2θ ≤ 90°), in order of falling intensity:
- hkl 1 0 5, 35.6°, intensity 100
- hkl 1 0 3, 28.0°, intensity 93
- hkl 1 1 0, 32.3°, intensity 51
- hkl 2 1 5, 59.7°, intensity 46
- hkl 1 1 2, 34.1°, intensity 44
- hkl 2 0 0, 46.3°, intensity 34
- hkl 2 1 3, 55.0°, intensity 29
- hkl 2 0 8, 65.8°, intensity 19
- hkl 1 1 10, 66.0°, intensity 18
- hkl 1 1 4, 39.2°, intensity 16
- hkl 1 1 8, 55.6°, intensity 15
- hkl 0 0 8, 44.0°, intensity 15

***

> Which formula does entry 2 have?

Al2Sn2Te

***

> Number 2 is which compound?

Al2Sn2Te